(1)
Structure and calculated powder diffractogram of Ho4AlGa2 (a DFT-relaxed cell (GGA-PBE, Alexandria); a wavelength of 1.5418 Å).
Neutral-atom scattering factors, no anomalous dispersion.

Structural model:
a b c (Å): 6.840 8.082 8.107
angles (deg): 80.84 65.20 65.14
Fractional coordinates of all 14 atoms:
Ho1 0.004 0.228 0.271
Ho2 0.030 0.781 0.161
Ho3 0.470 0.338 0.719
Ho4 0.496 0.229 0.272
Ho5 0.504 0.771 0.728
Ho6 0.530 0.662 0.281
Ho7 0.970 0.219 0.839
Ho8 0.996 0.772 0.729
Al1 0.250 0.001 0.500
Al2 0.750 0.999 0.500
Ga1 0.000 0.500 0.000
Ga2 0.000 0.500 0.500
Ga3 0.500 0.000 0.000
Ga4 0.500 0.500 0.000

Top 8 peaks for 2θ = 15–90°, by angle:
| 2θ (°) | I/Imax |
| --- | --- |
| 24.24 | 89 |
| 28.66 | 63 |
| 31.21 | 67 |
| 31.36 | 100 |
| 31.48 | 100 |
| 33.61 | 52 |
| 34.17 | 32 |
| 34.91 | 74 |

(2)
Structure and calculated powder diffractogram of NdHo2Al2Ga2 (a DFT-relaxed cell (GGA-PBE, Alexandria); a wavelength of 1.5418 Å).
Neutral-atom scattering factors, no anomalous dispersion.

Structural model:
a b c (Å): 10.245 10.245 10.245
angles (deg): 24.78 24.78 24.78
Fractional coordinates of all 7 atoms:
Nd1 0.000 0.000 0.000
Ho1 0.129 0.129 0.129
Ho2 0.871 0.871 0.871
Al1 0.398 0.398 0.398
Al2 0.602 0.602 0.602
Ga1 0.254 0.254 0.254
Ga2 0.746 0.746 0.746

Top 8 peaks for 2θ = 15–90°, by angle:
| 2θ (°) | I/Imax |
| --- | --- |
| 23.56 | 64 |
| 31.54 | 63 |
| 33.67 | 100 |
| 41.06 | 66 |
| 54.11 | 26 |
| 54.91 | 18 |
| 63.10 | 26 |
| 70.11 | 24 |

(3)
Structure and calculated powder diffractogram of NdHoAlGa (a DFT-relaxed cell (GGA-PBE, Alexandria); a wavelength of 1.5418 Å).
Neutral-atom scattering factors, no anomalous dispersion.

Structural model:
a b c (Å): 4.139 4.454 11.192
angles (deg): 90.00 90.00 90.00
Fractional coordinates of all 8 atoms:
Nd1 0.000 0.000 0.000
Nd2 0.000 0.500 0.500
Ho1 0.500 0.000 0.281
Ho2 0.500 0.500 0.781
Al1 0.000 0.000 0.713
Al2 0.000 0.500 0.213
Ga1 0.500 0.000 0.569
Ga2 0.500 0.500 0.069

Top 8 peaks for 2θ = 15–90°, by angle:
| 2θ (°) | I/Imax |
| --- | --- |
| 26.79 | 43 |
| 30.55 | 100 |
| 31.27 | 52 |
| 31.99 | 27 |
| 38.25 | 41 |
| 40.50 | 24 |
| 49.23 | 21 |
| 54.75 | 21 |

(4)
Structure and calculated powder diffractogram of Nd2Ho2AlGa4 (a DFT-relaxed cell (GGA-PBE, Alexandria); a wavelength of 1.5418 Å).
Neutral-atom scattering factors, no anomalous dispersion.

Structural model:
a b c (Å): 6.676 6.676 6.676
angles (deg): 116.42 116.42 96.32
Fractional coordinates of all 9 atoms:
Nd1 0.250 0.750 0.500
Nd2 0.750 0.250 0.500
Ho1 0.185 0.185 0.000
Ho2 0.815 0.815 0.000
Al1 0.500 0.500 0.000
Ga1 0.250 0.250 0.500
Ga2 0.250 0.750 0.000
Ga3 0.750 0.250 0.000
Ga4 0.750 0.750 0.500

Top 8 peaks for 2θ = 15–90°, by angle:
| 2θ (°) | I/Imax |
| --- | --- |
| 25.32 | 19 |
| 32.44 | 100 |
| 32.74 | 18 |
| 36.12 | 54 |
| 41.84 | 18 |
| 52.00 | 19 |
| 55.38 | 12 |
| 62.63 | 30 |

(5)
Structure and calculated powder diffractogram of Ho2AlGa4Ni3 (a DFT-relaxed cell (GGA-PBE, Alexandria); a wavelength of 1.5418 Å).
Neutral-atom scattering factors, no anomalous dispersion.

Structural model:
a b c (Å): 4.007 4.007 10.483
angles (deg): 90.00 90.00 90.00
Fractional coordinates of all 10 atoms:
Ho1 0.000 0.500 0.239
Ho2 0.500 0.000 0.761
Al1 0.000 0.000 0.500
Ga1 0.000 0.000 0.000
Ga2 0.000 0.500 0.647
Ga3 0.500 0.000 0.353
Ga4 0.500 0.500 0.000
Ni1 0.000 0.500 0.870
Ni2 0.500 0.000 0.130
Ni3 0.500 0.500 0.500

Top 8 peaks for 2θ = 15–90°, by angle:
| 2θ (°) | I/Imax |
| --- | --- |
| 31.58 | 25 |
| 34.04 | 65 |
| 36.03 | 100 |
| 45.26 | 50 |
| 49.04 | 35 |
| 57.83 | 28 |
| 68.93 | 24 |
| 77.50 | 21 |

(6)
Structure and calculated powder diffractogram of HoAl2GaPd2 (a DFT-relaxed cell (GGA-PBE, Alexandria); a wavelength of 1.5418 Å).
Neutral-atom scattering factors, no anomalous dispersion.

Structural model:
a b c (Å): 4.618 4.618 5.581
angles (deg): 90.00 90.00 90.00
Fractional coordinates of all 6 atoms:
Ho1 0.000 0.000 0.000
Al1 0.000 0.500 0.500
Al2 0.500 0.000 0.500
Ga1 0.000 0.000 0.500
Pd1 0.500 0.500 0.246
Pd2 0.500 0.500 0.754

Top 8 peaks for 2θ = 15–90°, by angle:
| 2θ (°) | I/Imax |
| --- | --- |
| 27.31 | 91 |
| 31.75 | 17 |
| 37.66 | 100 |
| 39.01 | 57 |
| 55.34 | 65 |
| 56.35 | 19 |
| 63.73 | 16 |
| 82.95 | 20 |

(7)
Structure and calculated powder diffractogram of HoAlGaPt2 (a DFT-relaxed cell (GGA-PBE, Alexandria); a wavelength of 1.5418 Å).
Neutral-atom scattering factors, no anomalous dispersion.

Structural model:
a b c (Å): 3.954 3.954 11.930
angles (deg): 90.00 90.00 90.00
Fractional coordinates of all 10 atoms:
Ho1 0.000 0.000 0.000
Ho2 0.500 0.500 0.500
Al1 0.000 0.500 0.750
Al2 0.500 0.000 0.250
Ga1 0.000 0.500 0.250
Ga2 0.500 0.000 0.750
Pt1 0.000 0.000 0.386
Pt2 0.000 0.000 0.614
Pt3 0.500 0.500 0.114
Pt4 0.500 0.500 0.886

Top 8 peaks for 2θ = 15–90°, by angle:
| 2θ (°) | I/Imax |
| --- | --- |
| 23.71 | 16 |
| 31.96 | 100 |
| 35.46 | 32 |
| 44.36 | 61 |
| 45.90 | 33 |
| 57.00 | 23 |
| 65.73 | 28 |
| 83.88 | 13 |

(8)
Structure and calculated powder diffractogram of HoAl2GaS6 (a DFT-relaxed cell (GGA-PBE, Alexandria); a wavelength of 1.5418 Å).
Neutral-atom scattering factors, no anomalous dispersion.

Structural model:
a b c (Å): 8.388 8.388 6.987
angles (deg): 107.08 107.08 81.43
Fractional coordinates of all 20 atoms:
Ho1 0.152 0.848 0.750
Ho2 0.848 0.152 0.250
Al1 0.252 0.377 0.798
Al2 0.377 0.252 0.298
Al3 0.623 0.748 0.702
Al4 0.748 0.623 0.202
Ga1 0.194 0.806 0.250
Ga2 0.806 0.194 0.750
S1 0.053 0.176 0.648
S2 0.116 0.619 0.937
S3 0.176 0.053 0.148
S4 0.275 0.457 0.526
S5 0.381 0.884 0.563
S6 0.457 0.275 0.026
S7 0.543 0.725 0.974
S8 0.619 0.116 0.437
S9 0.725 0.543 0.474
S10 0.824 0.947 0.852
S11 0.884 0.381 0.063
S12 0.947 0.824 0.352

Top 8 peaks for 2θ = 15–90°, by angle:
| 2θ (°) | I/Imax |
| --- | --- |
| 15.13 | 100 |
| 24.19 | 49 |
| 25.58 | 55 |
| 27.69 | 47 |
| 32.37 | 42 |
| 32.62 | 41 |
| 33.61 | 33 |
| 35.71 | 41 |

(9)
Structure and calculated powder diffractogram of TbHoAlGa (a DFT-relaxed cell (GGA-PBE, Alexandria); a wavelength of 1.5418 Å).
Neutral-atom scattering factors, no anomalous dispersion.

Structural model:
a b c (Å): 4.066 4.407 11.016
angles (deg): 90.00 90.00 90.00
Fractional coordinates of all 8 atoms:
Tb1 0.000 0.000 0.000
Tb2 0.000 0.500 0.500
Ho1 0.500 0.000 0.281
Ho2 0.500 0.500 0.781
Al1 0.000 0.000 0.712
Al2 0.000 0.500 0.212
Ga1 0.500 0.000 0.563
Ga2 0.500 0.500 0.063

Top 8 peaks for 2θ = 15–90°, by angle:
| 2θ (°) | I/Imax |
| --- | --- |
| 27.26 | 43 |
| 31.01 | 100 |
| 31.72 | 48 |
| 32.51 | 28 |
| 38.86 | 39 |
| 40.96 | 24 |
| 44.57 | 19 |
| 55.73 | 20 |

(10)
Structure and calculated powder diffractogram of YHoAlGa (a DFT-relaxed cell (GGA-PBE, Alexandria); a wavelength of 1.5418 Å).
Neutral-atom scattering factors, no anomalous dispersion.

Structural model:
a b c (Å): 4.065 4.396 10.992
angles (deg): 90.00 90.00 90.00
Fractional coordinates of all 8 atoms:
Y1 0.000 0.000 0.000
Y2 0.000 0.500 0.500
Ho1 0.500 0.000 0.719
Ho2 0.500 0.500 0.219
Al1 0.000 0.000 0.288
Al2 0.000 0.500 0.788
Ga1 0.500 0.000 0.438
Ga2 0.500 0.500 0.938

Top 8 peaks for 2θ = 15–90°, by angle:
| 2θ (°) | I/Imax |
| --- | --- |
| 21.81 | 36 |
| 27.29 | 33 |
| 31.05 | 100 |
| 31.80 | 50 |
| 32.59 | 29 |
| 38.92 | 49 |
| 41.07 | 25 |
| 55.79 | 20 |

(11)
Structure and calculated powder diffractogram of HoAlZn6Ga (a DFT-relaxed cell (GGA-PBE, Alexandria); a wavelength of 1.5418 Å).
Neutral-atom scattering factors, no anomalous dispersion.

Structural model:
a b c (Å): 8.809 8.809 8.809
angles (deg): 144.23 112.37 78.94
Fractional coordinates of all 18 atoms:
Ho1 0.431 0.181 0.250
Ho2 0.569 0.819 0.750
Al1 0.000 0.000 0.500
Al2 0.000 0.500 0.000
Zn1 0.138 0.399 0.227
Zn2 0.138 0.911 0.739
Zn3 0.198 0.948 0.250
Zn4 0.328 0.089 0.727
Zn5 0.328 0.601 0.239
Zn6 0.336 0.586 0.750
Zn7 0.664 0.414 0.250
Zn8 0.672 0.399 0.761
Zn9 0.672 0.911 0.273
Zn10 0.802 0.052 0.750
Zn11 0.862 0.089 0.261
Zn12 0.862 0.601 0.773
Ga1 0.000 0.500 0.500
Ga2 0.500 0.500 0.000

Top 8 peaks for 2θ = 15–90°, by angle:
| 2θ (°) | I/Imax |
| --- | --- |
| 25.38 | 46 |
| 32.41 | 100 |
| 35.03 | 45 |
| 36.66 | 96 |
| 37.99 | 92 |
| 41.47 | 44 |
| 41.81 | 51 |
| 46.74 | 52 |

(12)
Structure and calculated powder diffractogram of Ho2AlZnGa (a DFT-relaxed cell (GGA-PBE, Alexandria); a wavelength of 1.5418 Å).
Neutral-atom scattering factors, no anomalous dispersion.

Structural model:
a b c (Å): 7.096 4.400 7.306
angles (deg): 90.00 107.33 90.00
Fractional coordinates of all 10 atoms:
Ho1 0.137 0.250 0.380
Ho2 0.307 0.250 0.941
Ho3 0.693 0.750 0.059
Ho4 0.863 0.750 0.620
Al1 0.347 0.750 0.659
Al2 0.653 0.250 0.341
Zn1 0.093 0.750 0.065
Zn2 0.907 0.250 0.935
Ga1 0.431 0.750 0.309
Ga2 0.569 0.250 0.691

Top 8 peaks for 2θ = 15–90°, by angle:
| 2θ (°) | I/Imax |
| --- | --- |
| 24.12 | 43 |
| 32.18 | 21 |
| 32.33 | 44 |
| 32.78 | 100 |
| 37.13 | 37 |
| 38.06 | 31 |
| 38.70 | 62 |
| 41.02 | 40 |

(13)
Structure and calculated powder diffractogram of Al2Ga2I7 (a DFT-relaxed cell (GGA-PBE, Alexandria); a wavelength of 1.5418 Å).
Neutral-atom scattering factors, no anomalous dispersion.

Structural model:
a b c (Å): 7.185 17.001 8.677
angles (deg): 90.00 98.11 90.00
Fractional coordinates of all 22 atoms:
Al1 0.150 0.115 0.333
Al2 0.150 0.385 0.833
Al3 0.850 0.615 0.167
Al4 0.850 0.885 0.667
Ga1 0.397 0.660 0.571
Ga2 0.397 0.840 0.071
Ga3 0.603 0.160 0.929
Ga4 0.603 0.340 0.429
I1 0.000 0.000 0.500
I2 0.000 0.500 0.000
I3 0.110 0.718 0.274
I4 0.110 0.782 0.774
I5 0.301 0.056 0.100
I6 0.301 0.444 0.600
I7 0.416 0.184 0.527
I8 0.416 0.316 0.027
I9 0.584 0.684 0.973
I10 0.584 0.816 0.473
I11 0.699 0.556 0.400
I12 0.699 0.944 0.900
I13 0.890 0.218 0.226
I14 0.890 0.282 0.726

Top 8 peaks for 2θ = 15–90°, by angle:
| 2θ (°) | I/Imax |
| --- | --- |
| 18.05 | 54 |
| 20.03 | 49 |
| 23.38 | 47 |
| 24.96 | 97 |
| 25.70 | 49 |
| 25.83 | 100 |
| 26.25 | 55 |
| 37.88 | 40 |

(14)
Structure and calculated powder diffractogram of RbAl2GaI8 (a DFT-relaxed cell (GGA-PBE, Alexandria); a wavelength of 1.5418 Å).
Neutral-atom scattering factors, no anomalous dispersion.

Structural model:
a b c (Å): 7.598 7.598 11.218
angles (deg): 90.00 90.00 120.00
Fractional coordinates of all 12 atoms:
Rb1 0.000 0.000 0.000
Al1 0.333 0.667 0.762
Al2 0.667 0.333 0.238
Ga1 0.000 0.000 0.500
I1 0.012 0.344 0.691
I2 0.331 0.988 0.691
I3 0.333 0.667 0.990
I4 0.344 0.331 0.309
I5 0.656 0.669 0.691
I6 0.667 0.333 0.010
I7 0.669 0.012 0.309
I8 0.988 0.656 0.309

Top 8 peaks for 2θ = 15–90°, by angle:
| 2θ (°) | I/Imax |
| --- | --- |
| 23.79 | 30 |
| 24.74 | 100 |
| 28.38 | 79 |
| 39.96 | 31 |
| 41.16 | 35 |
| 48.10 | 25 |
| 48.63 | 18 |
| 65.57 | 20 |